(1)
Diffraction record for Lu2Co12P7. The powder diffraction line list is calculated, not measured: it uses a structure optimized by DFT (GGA-PBE) and Cu Kα.
Intensities are scaled so that the largest is 100.

Structure:
Lattice parameters (Å, degrees): 8.9625 8.9625 3.5612 90.00 90.00 120.00
Space group P-6 (No. 174)
Inequivalent atoms, fractional coordinates:
Lu (0.0000, 0.0000, 0.0000) (multiplicity 1)
Lu (0.3333, 0.6667, 0.5000) (multiplicity 1)
Co (0.0414, 0.7687, 0.5000) (multiplicity 3)
Co (0.1033, 0.3870, 0.0000) (multiplicity 3)
Co (0.4326, 0.2318, 0.0000) (multiplicity 3)
Co (0.5117, 0.0597, 0.5000) (multiplicity 3)
P (0.0714, 0.6242, 0.0000) (multiplicity 3)
P (0.2587, 0.0403, 0.5000) (multiplicity 3)
P (0.6667, 0.3333, 0.5000) (multiplicity 1)

Most intense lines, 2θ = 5–70°, by intensity:
hkl 1 2 1, 39.81 deg, rel. 100.0
hkl 0 0 2, 51.31 deg, rel. 18.6
hkl 4 1 0, 54.15 deg, rel. 17.6
hkl 1 0 1, 27.56 deg, rel. 13.0
hkl 2 2 0, 40.25 deg, rel. 11.2
hkl 1 2 0, 30.47 deg, rel. 10.6
hkl 3 0 0, 34.67 deg, rel. 9.7
hkl 2 3 1, 57.90 deg, rel. 9.5
hkl 2 4 1, 69.28 deg, rel. 9.2
hkl 1 3 1, 49.47 deg, rel. 8.5


(2)
Diffraction record for UGa5Ru. The powder diffraction line list is calculated, not measured: it uses a structure optimized by DFT (GGA-PBE) and Cu Kα.
Intensities are scaled so that the largest is 100.

Structure:
Lattice parameters (Å, degrees): 4.3208 4.3208 6.7232 90.00 90.00 90.00
Space group P4/mmm (No. 123)
Inequivalent atoms, fractional coordinates:
U (0.0000, 0.0000, 0.0000) (multiplicity 1)
Ga (0.0000, 0.5000, 0.3009) (multiplicity 4)
Ga (0.5000, 0.5000, 0.0000) (multiplicity 1)
Ru (0.0000, 0.0000, 0.5000) (multiplicity 1)

Most intense lines, 2θ = 5–70°, by intensity:
hkl 1 1 2, 39.87 deg, rel. 100.0
hkl 2 0 0, 41.81 deg, rel. 52.0
hkl 1 0 0, 20.56 deg, rel. 43.2
hkl 1 1 1, 32.18 deg, rel. 36.6
hkl 1 0 2, 33.78 deg, rel. 25.3
hkl 2 2 0, 60.62 deg, rel. 17.2
hkl 2 0 3, 59.43 deg, rel. 14.6
hkl 2 1 2, 54.80 deg, rel. 13.1
hkl 0 0 3, 40.24 deg, rel. 11.5
hkl 2 1 0, 47.03 deg, rel. 10.2


(3)
Diffraction record for PrHSe. The powder diffraction line list is calculated, not measured: it uses a structure optimized by DFT (GGA-PBE) and Cu Kα.
Intensities are scaled so that the largest is 100.

Structure:
Lattice parameters (Å, degrees): 4.0628 4.0628 8.0258 90.00 90.00 120.00
Space group P6_3/mmc (No. 194)
Inequivalent atoms, fractional coordinates:
Pr (0.3333, 0.6667, 0.2500) (multiplicity 2)
H (0.3333, 0.6667, 0.7500) (multiplicity 2)
Se (0.0000, 0.0000, 0.0000) (multiplicity 2)

Most intense lines, 2θ = 5–70°, by intensity:
hkl 1 0 1, 27.68 deg, rel. 100.0
hkl 1 0 2, 33.88 deg, rel. 91.7
hkl 1 1 0, 44.61 deg, rel. 45.9
hkl 1 0 3, 42.45 deg, rel. 31.8
hkl 1 1 4, 65.37 deg, rel. 29.0
hkl 2 0 2, 57.17 deg, rel. 20.0
hkl 2 0 1, 53.31 deg, rel. 16.4
hkl 0 0 4, 45.19 deg, rel. 14.7
hkl 2 0 3, 63.27 deg, rel. 9.8
hkl 1 0 5, 63.73 deg, rel. 9.6


(4)
Diffraction record for HfMg14Nb. The powder diffraction line list is calculated, not measured: it uses a structure optimized by DFT (GGA-PBE) and Cu Kα.
Intensities are scaled so that the largest is 100.

Structure:
Lattice parameters (Å, degrees): 6.3902 6.3902 10.0004 90.00 90.00 120.00
Space group P-6m2 (No. 187)
Inequivalent atoms, fractional coordinates:
Hf (0.0000, 0.0000, 0.0000) (multiplicity 1)
Mg (0.0011, 0.5005, 0.5000) (multiplicity 3)
Mg (0.0030, 0.5015, 0.0000) (multiplicity 3)
Mg (0.1620, 0.3240, 0.2535) (multiplicity 6)
Mg (0.6667, 0.3333, 0.2490) (multiplicity 2)
Nb (0.0000, 0.0000, 0.5000) (multiplicity 1)

Most intense lines, 2θ = 5–70°, by intensity:
hkl 2 0 2, 37.14 deg, rel. 100.0
hkl 1 0 0, 16.02 deg, rel. 64.3
hkl 1 0 2, 23.99 deg, rel. 45.8
hkl 2 0 0, 32.35 deg, rel. 31.9
hkl 0 0 4, 35.92 deg, rel. 23.4
hkl 2 2 0, 57.72 deg, rel. 21.3
hkl 1 1 2, 33.28 deg, rel. 20.8
hkl 2 0 4, 49.11 deg, rel. 19.5
hkl 2 2 4, 69.87 deg, rel. 18.9
hkl 2 0 6, 65.36 deg, rel. 18.3


(5)
Diffraction record for CaH4IrO2F6. The powder diffraction line list is calculated, not measured: it uses a structure optimized by DFT (GGA-PBE) and Cu Kα.
Intensities are scaled so that the largest is 100.

Structure:
Lattice parameters (Å, degrees): 5.9610 9.6720 11.7699 90.00 110.95 90.00
Space group P2_1/c (No. 14)
Inequivalent atoms, fractional coordinates:
Ca (0.2127, 0.1803, 0.0470) (multiplicity 4)
H (0.2296, 0.5922, 0.6694) (multiplicity 4)
H (0.3164, 0.6420, 0.5639) (multiplicity 4)
H (0.3425, 0.6579, 0.9395) (multiplicity 4)
H (0.4882, 0.1395, 0.4241) (multiplicity 4)
Ir (0.1369, 0.5388, 0.2336) (multiplicity 4)
O (0.2012, 0.5795, 0.5820) (multiplicity 4)
O (0.4622, 0.7067, 0.0092) (multiplicity 4)
F (0.0034, 0.6687, 0.3205) (multiplicity 4)
F (0.0158, 0.6501, 0.0862) (multiplicity 4)
F (0.1784, 0.5588, 0.8154) (multiplicity 4)
F (0.2630, 0.0706, 0.8824) (multiplicity 4)
F (0.2757, 0.0932, 0.6526) (multiplicity 4)
F (0.4466, 0.6441, 0.2839) (multiplicity 4)

Most intense lines, 2θ = 5–70°, by intensity:
hkl 1 1 -1, 17.64 deg, rel. 100.0
hkl 0 2 2, 24.52 deg, rel. 85.9
hkl 0 0 2, 16.13 deg, rel. 70.2
hkl 1 1 -3, 25.57 deg, rel. 67.0
hkl 1 0 0, 15.92 deg, rel. 59.6
hkl 2 1 -1, 31.61 deg, rel. 53.8
hkl 0 2 0, 18.35 deg, rel. 44.6
hkl 1 1 1, 22.30 deg, rel. 44.2
hkl 0 2 1, 20.06 deg, rel. 31.0
hkl 1 2 0, 24.38 deg, rel. 27.2